Record 1
Starting from a cell relaxed with PBE, the X-ray powder pattern of HoPa2Te5 was computed for Cu Ka.

```
HoPa2Te5
1.0
7.460 0.000 0.000
0.000 7.460 0.000
0.000 0.000 5.221
Ho Pa Te
1 2 5
direct
0.000 0.000 0.000
0.000 0.500 0.500
0.500 0.000 0.500
0.000 0.000 0.500
0.279 0.279 0.000
0.279 0.721 0.000
0.721 0.279 0.000
0.721 0.721 0.000
```

Peak list (10 most intense, 10 to 90 degrees two-theta, sorted by position)
two_theta  I_rel
11.9  21
24.0  55
26.7  23
29.4  100
34.0  61
34.4  33
42.0  20
49.1  44
58.0  22
61.1  20

---

Record 2
Starting from a cell relaxed with PBE, the X-ray powder pattern of Na2Cd11 was computed for Cu Ka.

```
Na2Cd11
1.0
9.736 0.000 0.000
0.000 9.736 0.000
0.000 0.000 9.736
Na Cd
6 33
direct
0.000 0.300 0.500
0.000 0.700 0.500
0.300 0.500 0.000
0.500 0.000 0.300
0.500 0.000 0.700
0.700 0.500 0.000
0.000 0.000 0.232
0.000 0.000 0.768
0.000 0.232 0.000
0.000 0.500 0.159
0.000 0.500 0.841
0.000 0.768 0.000
0.159 0.000 0.500
0.218 0.218 0.218
0.218 0.218 0.782
0.218 0.782 0.218
0.218 0.782 0.782
0.231 0.500 0.345
0.231 0.500 0.655
0.232 0.000 0.000
0.345 0.231 0.500
0.345 0.769 0.500
0.500 0.159 0.000
0.500 0.345 0.231
0.500 0.345 0.769
0.500 0.500 0.500
0.500 0.655 0.231
0.500 0.655 0.769
0.500 0.841 0.000
0.655 0.231 0.500
0.655 0.769 0.500
0.768 0.000 0.000
0.769 0.500 0.345
0.769 0.500 0.655
0.782 0.218 0.218
0.782 0.218 0.782
0.782 0.782 0.218
0.782 0.782 0.782
0.841 0.000 0.500
```

Peak list (10 most intense, 10 to 90 degrees two-theta, sorted by position)
two_theta  I_rel
12.9  19
20.4  23
31.8  19
34.5  47
36.9  39
38.1  100
39.3  15
41.5  15
58.4  16
67.3  17

---

Record 3
Starting from a cell relaxed with PBE, the X-ray powder pattern of Pr3ErSc2 was computed for Cu Ka.

```
Pr3ErSc2
1.0
7.308 -4.894 0.000
7.308 4.894 0.000
0.000 0.000 5.558
Pr Er Sc
6 2 4
direct
0.091 0.909 0.750
0.111 0.382 0.250
0.382 0.111 0.750
0.618 0.889 0.250
0.889 0.618 0.750
0.909 0.091 0.250
0.281 0.719 0.250
0.719 0.281 0.750
0.304 0.491 0.750
0.491 0.304 0.250
0.509 0.696 0.750
0.696 0.509 0.250
```

Peak list (10 most intense, 10 to 90 degrees two-theta, sorted by position)
two_theta  I_rel
24.2  64
24.4  55
32.2  48
32.4  50
34.6  100
36.9  16
40.8  29
56.2  16
59.0  22
60.5  14

---

Record 4
Starting from a cell relaxed with PBE, the X-ray powder pattern of TePS2Cl was computed for Cu Ka.

```
TePS2Cl
1.0
4.716 0.000 0.000
0.000 4.716 0.000
0.000 0.000 4.575
Te P S Cl
1 1 2 1
direct
0.000 0.000 0.000
0.500 0.500 0.500
0.000 0.500 0.500
0.500 0.000 0.500
0.500 0.500 0.000
```

Peak list (10 most intense, 10 to 90 degrees two-theta, sorted by position)
two_theta  I_rel
26.7  36
27.2  63
33.2  100
38.2  58
39.4  26
47.5  28
55.1  19
56.0  35
65.9  25
69.8  18

---

Record 5
Starting from a cell relaxed with PBE, the X-ray powder pattern of B5HPt12 was computed for Cu Ka.

```
B5HPt12
1.0
5.612 0.000 0.000
2.806 5.041 0.000
1.015 1.679 8.369
B H Pt
5 1 12
direct
0.000 0.000 0.000
0.008 0.484 0.579
0.320 0.353 0.004
0.329 0.848 0.481
0.647 0.227 0.396
0.680 0.650 0.874
0.011 0.375 0.846
0.022 0.232 0.364
0.272 0.586 0.358
0.335 0.970 0.114
0.342 0.718 0.866
0.376 0.116 0.608
0.642 0.462 0.598
0.652 0.097 0.867
0.668 0.301 0.131
0.682 0.862 0.361
0.957 0.641 0.099
0.988 0.838 0.620
```

Peak list (10 most intense, 10 to 90 degrees two-theta, sorted by position)
two_theta  I_rel
31.9  24
36.0  100
36.5  38
40.0  68
41.0  27
43.2  40
54.6  19
56.3  32
72.0  19
72.1  20

---

Record 6
Starting from a cell relaxed with PBE, the X-ray powder pattern of Pr4PtO7 was computed for Cu Ka.

```
Pr4PtO7
1.0
6.662 -2.029 0.000
6.662 2.029 0.000
-6.411 0.000 6.875
Pr Pt O
4 1 7
direct
0.087 0.087 0.394
0.249 0.249 0.160
0.751 0.751 0.840
0.913 0.913 0.606
0.500 0.500 0.000
0.000 0.000 0.000
0.131 0.131 0.692
0.298 0.298 0.447
0.408 0.408 0.108
0.592 0.592 0.892
0.702 0.702 0.553
0.869 0.869 0.308
```

Peak list (10 most intense, 10 to 90 degrees two-theta, sorted by position)
two_theta  I_rel
29.4  38
29.7  57
30.0  100
30.7  67
41.2  16
43.3  20
44.7  37
52.4  21
53.8  21
54.5  21

---

Record 7
Starting from a cell relaxed with PBE, the X-ray powder pattern of La2US5 was computed for Cu Ka.

```
La2US5
1.0
12.037 0.000 0.000
0.000 8.224 0.000
0.000 0.000 7.564
La U S
8 4 20
direct
0.175 0.001 0.030
0.175 0.499 0.030
0.325 0.501 0.530
0.325 0.999 0.530
0.675 0.001 0.470
0.675 0.499 0.470
0.825 0.501 0.970
0.825 0.999 0.970
0.007 0.250 0.565
0.493 0.750 0.065
0.507 0.250 0.935
0.993 0.750 0.435
0.001 0.250 0.950
0.093 0.538 0.662
0.093 0.962 0.662
0.188 0.250 0.337
0.213 0.750 0.311
0.287 0.250 0.811
0.312 0.750 0.837
0.407 0.038 0.162
0.407 0.462 0.162
0.499 0.750 0.450
0.501 0.250 0.550
0.593 0.538 0.838
0.593 0.962 0.838
0.688 0.250 0.163
0.713 0.750 0.189
0.787 0.250 0.689
0.812 0.750 0.663
0.907 0.038 0.338
0.907 0.462 0.338
0.999 0.750 0.050
```

Peak list (10 most intense, 10 to 90 degrees two-theta, sorted by position)
two_theta  I_rel
23.5  47
25.1  100
25.7  88
26.2  64
35.5  70
37.0  35
44.0  27
45.2  59
51.4  31
51.6  27

---

Record 8
Starting from a cell relaxed with PBE, the X-ray powder pattern of YEr7In4 was computed for Cu Ka.

```
YEr7In4
1.0
7.200 -2.807 0.000
7.200 2.807 0.000
-5.803 0.000 8.632
Y Er In
1 7 4
direct
0.000 0.000 0.000
0.064 0.064 0.397
0.212 0.212 0.877
0.280 0.280 0.339
0.500 0.500 0.000
0.720 0.720 0.661
0.788 0.788 0.123
0.936 0.936 0.603
0.319 0.319 0.665
0.439 0.439 0.242
0.561 0.561 0.758
0.681 0.681 0.335
```

Peak list (10 most intense, 10 to 90 degrees two-theta, sorted by position)
two_theta  I_rel
28.7  49
30.2  52
30.7  41
31.6  20
31.9  100
33.6  48
35.0  21
36.6  81
43.4  32
59.9  19

---

Record 9
Starting from a cell relaxed with PBE, the X-ray powder pattern of BaCd2BiO2 was computed for Cu Ka.

```
BaCd2BiO2
1.0
2.164 -10.281 0.000
2.164 10.281 0.000
0.000 0.000 6.583
Ba Cd Bi O
2 4 2 4
direct
0.223 0.777 0.750
0.777 0.223 0.250
0.390 0.610 0.750
0.406 0.594 0.250
0.594 0.406 0.750
0.610 0.390 0.250
0.006 0.994 0.250
0.994 0.006 0.750
0.323 0.677 0.016
0.323 0.677 0.484
0.677 0.323 0.516
0.677 0.323 0.984
```

Peak list (10 most intense, 10 to 90 degrees two-theta, sorted by position)
two_theta  I_rel
24.3  42
25.0  20
27.1  71
27.9  21
30.0  96
40.8  100
41.7  28
50.5  26
64.7  22
75.6  17

---

Record 10
Starting from a cell relaxed with PBE, the X-ray powder pattern of BaNaInSe3 was computed for Cu Ka.

```
BaNaInSe3
1.0
2.171 -7.421 0.000
2.171 7.421 0.000
0.000 0.000 11.342
Ba Na In Se
2 2 2 6
direct
0.249 0.751 0.750
0.751 0.249 0.250
0.500 0.500 0.000
0.500 0.500 0.500
0.036 0.964 0.250
0.964 0.036 0.750
0.142 0.858 0.072
0.142 0.858 0.428
0.426 0.574 0.250
0.574 0.426 0.750
0.858 0.142 0.572
0.858 0.142 0.928
```

Peak list (10 most intense, 10 to 90 degrees two-theta, sorted by position)
two_theta  I_rel
15.6  44
26.5  17
28.5  100
28.8  30
31.6  47
32.0  27
36.4  24
40.0  21
41.6  26
48.9  29

---

Record 11
Starting from a cell relaxed with PBE, the X-ray powder pattern of Np2Ga12Pt was computed for Cu Ka.

```
Np2Ga12Pt
1.0
6.089 0.000 0.000
0.000 6.089 0.000
0.000 0.000 15.486
Np Ga Pt
4 24 2
direct
0.250 0.750 0.241
0.250 0.750 0.759
0.750 0.250 0.241
0.750 0.250 0.759
0.000 0.000 0.092
0.000 0.000 0.908
0.000 0.500 0.092
0.000 0.500 0.908
0.081 0.581 0.430
0.081 0.919 0.570
0.250 0.250 0.190
0.250 0.250 0.346
0.250 0.250 0.654
0.250 0.250 0.810
0.419 0.581 0.570
0.419 0.919 0.430
0.500 0.000 0.092
0.500 0.000 0.908
0.500 0.500 0.092
0.500 0.500 0.908
0.581 0.081 0.570
0.581 0.419 0.430
0.750 0.750 0.190
0.750 0.750 0.346
0.750 0.750 0.654
0.750 0.750 0.810
0.919 0.081 0.430
0.919 0.419 0.570
0.250 0.750 0.000
0.750 0.250 0.000
```

Peak list (10 most intense, 10 to 90 degrees two-theta, sorted by position)
two_theta  I_rel
20.6  46
29.3  27
31.1  100
31.6  76
37.6  68
40.8  26
41.6  35
42.0  74
53.1  51
68.8  30

---

Record 12
Starting from a cell relaxed with PBE, the X-ray powder pattern of TmScSbSe was computed for Cu Ka.

```
TmScSbSe
1.0
4.162 0.000 0.000
0.000 4.162 0.000
0.000 0.000 5.764
Tm Sc Sb Se
1 1 1 1
direct
0.000 0.000 0.000
0.500 0.500 0.501
0.500 0.500 0.001
0.000 0.000 0.500
```

Peak list (10 most intense, 10 to 90 degrees two-theta, sorted by position)
two_theta  I_rel
15.4  38
30.4  100
31.0  47
34.2  23
43.5  37
44.0  72
54.4  38
71.7  16
72.1  16
80.2  24